# 1
# Li4La3Nb12O36
Theoretical powder X-ray diffraction pattern, Cu Kα (λ = 1.5418 Å). Input: a structure optimized by DFT (GGA-PBE).
Neutral-atom scattering factors, no anomalous dispersion.

Peak list (10 most intense, 2θ = 10–90°, low angle first)
d_spacing, two_theta, I (rel.), index
8.025, 11.03, 31, 2 0 -1
5.635, 15.73, 23, 1 1 1
4.612, 19.25, 29, 3 1 0
4.012, 22.15, 28, 4 0 -2
3.985, 22.31, 58, 2 0 2
2.827, 31.65, 100, 6 0 0
2.818, 31.76, 50, 2 2 2
1.992, 45.53, 43, 4 0 4
1.629, 56.50, 40, 8 2 2
1.414, 66.09, 24, 12 0 0

Structure:
```
data_Li4La3Nb12O36
_space_group_name_H-M_alt 'C 1 2/m 1'
_space_group_IT_number 12
_space_group_name_Hall '-C 2y'
_cell_length_a 17.9185
_cell_length_b 7.9706
_cell_length_c 11.3099
_cell_angle_alpha 90.00
_cell_angle_beta 108.80
_cell_angle_gamma 90.00
loop_
_atom_site_label
_atom_site_fract_x
_atom_site_fract_y
_atom_site_fract_z
Li1 0.0000 0.0000 0.0000
Li2 0.0000 0.5000 0.5000
Li3 0.1663 0.0000 0.8327
La1 0.0000 0.0000 0.5000
La2 0.1668 0.5000 0.8323
Nb1 0.0020 0.2510 0.2495
Nb2 0.1651 0.2512 0.0864
Nb3 0.1694 0.2498 0.5807
O1 0.0054 0.0000 0.7419
O2 0.0093 0.5000 0.7466
O3 0.0757 0.2445 0.4250
O4 0.0803 0.2404 0.1605
O5 0.0833 0.2495 0.6675
O6 0.0900 0.2521 0.9102
O7 0.1567 0.0000 0.5877
O8 0.1604 0.5000 0.5956
O9 0.1723 0.5000 0.0720
O10 0.1742 0.0000 0.0783
O11 0.2420 0.2558 0.7577
O12 0.2500 0.2500 0.0000
O13 0.2500 0.2500 0.5000
```



# 2
# MgTiGe2O6
Theoretical powder X-ray diffraction pattern, Cu Kα (λ = 1.5418 Å). Input: a structure optimized by DFT (GGA-PBE).
Neutral-atom scattering factors, no anomalous dispersion.

Peak list (10 most intense, 2θ = 10–90°, low angle first)
d_spacing, two_theta, I (rel.), index
4.291, 20.70, 100, 1 1 -1
3.222, 27.69, 73, 3 1 0
2.984, 29.95, 45, 3 1 -1
2.956, 30.23, 49, 2 2 -1
2.619, 34.23, 100, 2 2 1
2.486, 36.14, 51, 1 3 -1
2.257, 39.94, 26, 1 1 2
1.917, 47.44, 26, 1 3 -2
1.687, 54.40, 33, 5 3 -1
1.471, 63.23, 35, 4 2 -3

Structure:
```
data_MgTiGe2O6
_space_group_name_H-M_alt 'C 1 2/c 1'
_space_group_IT_number 15
_space_group_name_Hall '-C 2yc'
_cell_length_a 10.6460
_cell_length_b 8.6249
_cell_length_c 5.1421
_cell_angle_alpha 90.00
_cell_angle_beta 101.84
_cell_angle_gamma 90.00
loop_
_atom_site_label
_atom_site_fract_x
_atom_site_fract_y
_atom_site_fract_z
Mg1 0.0000 0.1946 0.2500
Ti1 0.0000 0.3992 0.7500
Ge1 0.2114 0.1227 0.8753
O1 0.1002 0.2510 0.6245
O2 0.1072 0.4166 0.1129
O3 0.1470 0.0511 0.1705
```



# 3
# DySbIr
Theoretical powder X-ray diffraction pattern, Cu Kα (λ = 1.5418 Å). Input: a structure optimized by DFT (GGA-PBE).
Neutral-atom scattering factors, no anomalous dispersion.

Peak list (10 most intense, 2θ = 10–90°, low angle first)
d_spacing, two_theta, I (rel.), index
2.754, 32.51, 60, 1 1 2
2.665, 33.63, 31, 2 0 2
2.646, 33.88, 100, 2 1 1
2.290, 39.35, 31, 3 0 1
2.287, 39.41, 61, 0 1 3
2.251, 40.06, 47, 0 2 0
1.720, 53.27, 17, 2 2 2
1.605, 57.40, 21, 3 2 1
1.449, 64.31, 25, 3 1 4
1.293, 73.21, 16, 5 1 2

Structure:
```
data_DySbIr
_space_group_name_H-M_alt 'P n m a'
_space_group_IT_number 62
_space_group_name_Hall '-P 2ac 2n'
_cell_length_a 7.1728
_cell_length_b 4.5019
_cell_length_c 7.9635
_cell_angle_alpha 90.00
_cell_angle_beta 90.00
_cell_angle_gamma 90.00
loop_
_atom_site_label
_atom_site_fract_x
_atom_site_fract_y
_atom_site_fract_z
Dy1 0.0142 0.2500 0.1889
Sb1 0.1745 0.2500 0.5863
Ir1 0.2119 0.7500 0.4078
```



# 4
# Lu2Al3Fe
Theoretical powder X-ray diffraction pattern, Cu Kα (λ = 1.5418 Å). Input: a structure optimized by DFT (GGA-PBE).
Neutral-atom scattering factors, no anomalous dispersion.

Peak list (10 most intense, 2θ = 10–90°, low angle first)
d_spacing, two_theta, I (rel.), index
4.393, 20.21, 55, 1 0 1
4.312, 20.60, 39, 0 0 3
2.697, 33.22, 99, 1 1 0
2.659, 33.71, 65, 1 0 4
2.298, 39.20, 31, 0 2 1
2.286, 39.41, 100, 1 1 3
2.263, 39.83, 42, 0 1 5
1.549, 59.67, 26, 2 1 4
1.464, 63.53, 24, 3 0 3
1.458, 63.83, 21, 1 2 5

Structure:
```
data_Lu2Al3Fe
_space_group_name_H-M_alt 'R -3 m'
_space_group_IT_number 166
_space_group_name_Hall '-R 3 2"'
_cell_length_a 5.3932
_cell_length_b 5.3932
_cell_length_c 12.9351
_cell_angle_alpha 90.00
_cell_angle_beta 90.00
_cell_angle_gamma 120.00
loop_
_atom_site_label
_atom_site_fract_x
_atom_site_fract_y
_atom_site_fract_z
Lu1 0.0000 0.0000 0.1268
Al1 0.0000 0.5000 0.0000
Fe1 0.0000 0.0000 0.5000
```



# 5
# Nb2Cu3O8
Theoretical powder X-ray diffraction pattern, Cu Kα (λ = 1.5418 Å). Input: a structure optimized by DFT (GGA-PBE).
Neutral-atom scattering factors, no anomalous dispersion.

Peak list (10 most intense, 2θ = 10–90°, low angle first)
d_spacing, two_theta, I (rel.), index
3.814, 23.32, 53, 1 0 1
3.396, 26.24, 100, 0 1 -1
3.155, 28.28, 36, 1 1 -1
2.811, 31.84, 99, 1 1 2
2.779, 32.21, 64, -1 1 1
2.701, 33.17, 49, 1 2 1
2.582, 34.74, 56, 2 1 0
2.496, 35.98, 33, 1 0 -2
1.968, 46.12, 29, 1 -1 2
1.737, 52.69, 33, 1 2 -2

Structure:
```
data_Nb2Cu3O8
_space_group_name_H-M_alt 'P -1'
_space_group_IT_number 2
_space_group_name_Hall '-P 1'
_cell_length_a 5.2590
_cell_length_b 5.5257
_cell_length_c 6.2142
_cell_angle_alpha 73.53
_cell_angle_beta 81.79
_cell_angle_gamma 66.66
loop_
_atom_site_label
_atom_site_fract_x
_atom_site_fract_y
_atom_site_fract_z
Nb1 0.2182 0.0420 0.1539
Cu1 0.0000 0.5000 0.5000
Cu2 0.4637 0.5669 0.7464
O1 0.1700 0.8142 0.8988
O2 0.2388 0.7004 0.3928
O3 0.2628 0.2457 0.3329
O4 0.3690 0.2374 0.8759
```



# 6
# CsK3
Theoretical powder X-ray diffraction pattern, Cu Kα (λ = 1.5418 Å). Input: a structure optimized by DFT (GGA-PBE).
Neutral-atom scattering factors, no anomalous dispersion.

Peak list (10 most intense, 2θ = 10–90°, low angle first)
d_spacing, two_theta, I (rel.), index
6.131, 14.45, 31, 1 0 1
3.992, 22.27, 100, 1 1 2
3.621, 24.58, 19, 0 0 4
3.383, 26.34, 33, 2 0 0
2.472, 36.34, 27, 2 0 4
2.392, 37.60, 12, 2 2 0
2.155, 41.92, 17, 1 1 6
2.052, 44.13, 30, 3 1 2
1.996, 45.44, 14, 2 2 4
1.601, 57.56, 13, 3 1 6

Structure:
```
data_CsK3
_space_group_name_H-M_alt 'I 4/m m m'
_space_group_IT_number 139
_space_group_name_Hall '-I 4 2'
_cell_length_a 6.7666
_cell_length_b 6.7666
_cell_length_c 14.4845
_cell_angle_alpha 90.00
_cell_angle_beta 90.00
_cell_angle_gamma 90.00
loop_
_atom_site_label
_atom_site_fract_x
_atom_site_fract_y
_atom_site_fract_z
Cs1 0.0000 0.0000 0.0000
K1 0.0000 0.0000 0.5000
K2 0.0000 0.5000 0.2500
```



# 7
# Na3N
Theoretical powder X-ray diffraction pattern, Cu Kα (λ = 1.5418 Å). Input: a structure optimized by DFT (GGA-PBE).
Neutral-atom scattering factors, no anomalous dispersion.

Peak list (10 most intense, 2θ = 10–90°, low angle first)
d_spacing, two_theta, I (rel.), index
4.759, 18.64, 54, 0 0 1
3.009, 29.69, 76, 1 0 1
2.380, 37.81, 40, 0 0 2
2.242, 40.21, 100, 1 1 0
2.029, 44.67, 29, 1 1 1
1.798, 50.78, 18, 2 0 1
1.632, 56.38, 65, 1 1 2
1.403, 66.67, 15, 2 1 1
1.295, 73.08, 17, 3 0 0
1.137, 85.35, 16, 3 0 2

Structure:
```
data_Na3N
_space_group_name_H-M_alt 'P 6/m m m'
_space_group_IT_number 191
_space_group_name_Hall '-P 6 2'
_cell_length_a 4.4850
_cell_length_b 4.4850
_cell_length_c 4.7592
_cell_angle_alpha 90.00
_cell_angle_beta 90.00
_cell_angle_gamma 120.00
loop_
_atom_site_label
_atom_site_fract_x
_atom_site_fract_y
_atom_site_fract_z
Na1 0.0000 0.0000 0.0000
Na2 0.3333 0.6667 0.5000
N1 0.0000 0.0000 0.5000
```